Diffraction record for Pm3Ga8Pd3. The PXRD pattern is computed, not measured: it uses DFT lattice parameters and positions (PBE) and Cu Kα (weighted mean of Kα1 and Kα2).
Peak positions follow from Bragg's law for the DFT cell and can differ from measured ones.

Structure:
a b c (Å): 8.2507 8.2507 9.1870
angles (deg): 122.98 122.98 31.39
Atoms (fractional coordinates):
Pm  0.0000  0.0000  0.0000
Pm  0.2918  0.2918  0.2994
Pm  0.7082  0.7082  0.7006
Ga  0.1399  0.1399  0.4270
Ga  0.1495  0.1495  0.8665
Ga  0.3471  0.3471  0.7164
Ga  0.4964  0.4964  0.3222
Ga  0.5036  0.5036  0.6778
Ga  0.6529  0.6529  0.2836
Ga  0.8505  0.8505  0.1335
Ga  0.8601  0.8601  0.5730
Pd  0.0000  0.0000  0.5000
Pd  0.3491  0.3491  0.9946
Pd  0.6509  0.6509  0.0054

Top 10 peaks for 2θ = 10–80°, by angle:
d (Å), 2θ (°), I/Imax
3.122, 28.59, 31
2.647, 33.86, 26
2.595, 34.56, 63
2.569, 34.93, 56
2.547, 35.24, 24
2.527, 35.53, 100
2.366, 38.03, 20
2.346, 38.37, 24
2.232, 40.41, 68
2.184, 41.35, 28